Structure and computed powder diffraction line list of Y4BiSb3 (a structure optimized by DFT (GGA-PBE); copper Kα).

Cell and atoms:
```
data_Y4BiSb3
_cell_length_a 6.237
_cell_length_b 6.237
_cell_length_c 6.237
_cell_angle_alpha 90.00
_cell_angle_beta 90.00
_cell_angle_gamma 90.00
_space_group_name_H-M_alt 'P m -3 m'
_space_group_IT_number 221
_space_group_name_Hall '-P 4 2 3'
loop_
_atom_site_label
_atom_site_fract_x
_atom_site_fract_y
_atom_site_fract_z
Y1 0.000 0.000 0.000
Y2 0.000 0.500 0.500
Bi1 0.500 0.500 0.500
Sb1 0.000 0.000 0.500
```

Top 10 peaks for 2θ = 10–80°, by intensity:
two_theta	intensity	index
28.63	100	2 0 0
40.93	76	2 2 0
67.12	34	4 2 0
50.70	27	2 2 2
74.54	25	4 2 2
59.26	13	4 0 0
24.72	9	1 1 1
48.40	5	3 1 1
14.20	4	1 0 0
20.13	4	1 1 0

=====

Structure and computed powder diffraction line list of Hf4TiOs (a structure optimized by DFT (GGA-PBE); copper Kα).

Cell and atoms:
```
data_Hf4TiOs
_cell_length_a 3.226
_cell_length_b 3.226
_cell_length_c 11.409
_cell_angle_alpha 90.00
_cell_angle_beta 90.00
_cell_angle_gamma 90.00
_space_group_name_H-M_alt 'P 4/m m m'
_space_group_IT_number 123
_space_group_name_Hall '-P 4 2'
loop_
_atom_site_label
_atom_site_fract_x
_atom_site_fract_y
_atom_site_fract_z
Hf1 0.000 0.000 0.143
Hf2 0.500 0.500 0.328
Ti1 0.000 0.000 0.500
Os1 0.500 0.500 0.000
```

Top 10 peaks for 2θ = 10–80°, by intensity:
two_theta	intensity	index
36.53	100	1 0 3
39.51	44	1 1 0
69.72	30	2 1 3
57.11	16	2 0 0
63.72	16	1 1 6
47.84	9	0 0 6
77.63	9	2 0 6
42.30	9	1 0 4
28.76	5	1 0 1
40.32	4	1 1 1

=====

Structure and computed powder diffraction line list of CsNaNi2Cl8 (a structure optimized by DFT (GGA-PBE); copper Kα).

Cell and atoms:
```
data_CsNaNi2Cl8
_cell_length_a 6.5871
_cell_length_b 6.5871
_cell_length_c 28.9897
_cell_angle_alpha 90.00
_cell_angle_beta 90.00
_cell_angle_gamma 120.00
_space_group_name_H-M_alt 'R -3'
_space_group_IT_number 148
_space_group_name_Hall '-R 3'
loop_
_atom_site_label
_atom_site_fract_x
_atom_site_fract_y
_atom_site_fract_z
Cs1 0.0000 0.0000 0.0000
Na1 0.0000 0.0000 0.5000
Ni1 0.0000 0.0000 0.2486
Cl1 0.0000 0.0000 0.3235
Cl2 0.0124 0.6516 0.4410
```

Top 10 peaks for 2θ = 10–80°, by intensity:
two_theta	intensity	index
19.81	100	1 0 4
28.63	83	1 1 3
46.63	43	1 1 12
27.07	39	1 1 0
47.83	37	3 0 0
32.91	33	2 -1 6
27.69	31	0 0 9
29.20	29	0 1 8
43.81	23	2 1 4
33.77	22	0 2 4

=====

Structure and computed powder diffraction line list of La2MgBi4 (a structure optimized by DFT (GGA-PBE); copper Kα).

Cell and atoms:
```
data_La2MgBi4
_cell_length_a 4.607
_cell_length_b 4.607
_cell_length_c 10.885
_cell_angle_alpha 90.00
_cell_angle_beta 90.00
_cell_angle_gamma 90.00
_space_group_name_H-M_alt 'P -4 m 2'
_space_group_IT_number 115
loop_
_space_group_symop_operation_xyz
'x,y,z'
'y,-x,-z'
'-x,-y,z'
'-y,x,-z'
'-x,y,z'
'-y,-x,-z'
'x,-y,z'
'y,x,-z'
loop_
_atom_site_label
_atom_site_fract_x
_atom_site_fract_y
_atom_site_fract_z
La1 0.000 0.500 0.242
Mg1 0.000 0.000 0.500
Bi1 0.000 0.000 0.000
Bi2 0.000 0.500 0.669
Bi3 0.500 0.500 0.000
```

Top 10 peaks for 2θ = 10–80°, by intensity:
two_theta	intensity	index
32.02	100	1 1 2
28.60	51	1 1 1
39.10	43	2 0 0
24.53	32	0 0 3
25.33	30	1 0 2
66.42	25	3 1 2
46.71	24	2 0 3
46.12	16	1 0 5
56.49	15	2 2 0
62.01	13	2 1 5

=====

Structure and computed powder diffraction line list of Na4B5C3 (a structure optimized by DFT (GGA-PBE); copper Kα).

Cell and atoms:
```
data_Na4B5C3
_cell_length_a 5.004
_cell_length_b 8.514
_cell_length_c 5.700
_cell_angle_alpha 90.00
_cell_angle_beta 90.09
_cell_angle_gamma 90.00
_space_group_name_H-M_alt 'P 1 21/m 1'
_space_group_IT_number 11
loop_
_space_group_symop_operation_xyz
'x,y,z'
'-x,-y,-z'
'-x,y+1/2,-z'
'x,-y+1/2,z'
loop_
_atom_site_label
_atom_site_fract_x
_atom_site_fract_y
_atom_site_fract_z
Na1 0.249 0.000 0.125
Na2 0.251 0.003 0.625
B1 0.069 0.250 0.876
B2 0.086 0.250 0.375
B3 0.405 0.750 0.386
B4 0.406 0.750 0.862
B5 0.409 0.250 0.874
C1 0.085 0.750 0.380
C2 0.086 0.750 0.871
C3 0.415 0.250 0.374
```

Top 10 peaks for 2θ = 10–80°, by intensity:
two_theta	intensity	index
42.22	100	1 2 2
41.88	49	2 2 0
42.47	38	0 4 0
36.27	17	1 0 -2
77.53	13	1 6 2
35.89	10	2 0 0
57.06	9	1 4 -2
64.70	9	3 0 -2
64.81	9	3 0 2
65.50	8	0 0 4

=====

Structure and computed powder diffraction line list of ScBi3O6 (a structure optimized by DFT (GGA-PBE); copper Kα).

Cell and atoms:
```
data_ScBi3O6
_cell_length_a 5.740
_cell_length_b 6.225
_cell_length_c 10.103
_cell_angle_alpha 90.00
_cell_angle_beta 123.90
_cell_angle_gamma 90.00
_space_group_name_H-M_alt 'P 1 21/c 1'
_space_group_IT_number 14
loop_
_space_group_symop_operation_xyz
'x,y,z'
'-x,-y,-z'
'-x,y+1/2,-z+1/2'
'x,-y+1/2,z+1/2'
loop_
_atom_site_label
_atom_site_fract_x
_atom_site_fract_y
_atom_site_fract_z
Sc1 0.000 0.000 0.000
Bi1 0.268 0.037 0.757
Bi2 0.500 0.000 0.500
O1 0.093 0.060 0.235
O2 0.227 0.700 0.074
O3 0.375 0.165 0.056
```

Top 10 peaks for 2θ = 10–80°, by intensity:
two_theta	intensity	index
29.90	100	1 1 1
30.19	98	1 1 -3
28.68	52	0 2 0
31.17	45	2 0 -2
42.86	40	2 2 -2
54.51	34	3 1 -1
43.15	23	0 0 4
55.02	23	3 1 -5
52.63	22	0 2 4
51.57	20	1 3 1